For KBeSbTe2, a cell relaxed with GGA-PBE gives the computed powder diffraction line list in this record (CuKα).

Structural model:
abc: 5.4978 5.4978 4.7700
angles: 90.00 90.00 90.00
Positions (direct):
K 0.0000 0.0000 0.0000
Be 0.5000 0.5000 0.5000
Sb 0.5000 0.5000 0.0000
Te 0.0000 0.5000 0.5000
Te 0.5000 0.0000 0.5000

The 10 most intense peaks (2θ = 10–90°), by angle:
(hkl)  2θ/deg  d_spacing  I_rel
1 0 0  16.12  5.498  10
1 1 1  29.64  3.013  100
2 0 0  32.57  2.749  41
0 0 2  37.73  2.384  16
2 2 0  46.73  1.944  15
2 0 2  50.68  1.801  24
3 1 1  56.32  1.633  32
2 2 2  61.55  1.507  13
1 1 3  63.18  1.472  11
3 1 3  82.15  1.173  10